# 1
Simulated powder XRD pattern
Compound: Na3NbSi3GeO12
Radiation: Cu Kα, 1.54184 Å
Structure: a cell relaxed with PBE
Kinematic intensities with the Lorentz-polarization factor, no thermal factor.

Crystal structure
```
data_Na3NbSi3GeO12
_cell_length_a 15.534
_cell_length_b 8.881
_cell_length_c 8.920
_cell_angle_alpha 90.00
_cell_angle_beta 125.01
_cell_angle_gamma 90.00
_space_group_name_H-M_alt 'C 1 c 1'
_space_group_IT_number 9
loop_
_space_group_symop_operation_xyz
'x,y,z'
'x,-y,z+1/2'
'x+1/2,y+1/2,z'
'x+1/2,-y+1/2,z+1/2'
loop_
_atom_site_label
_atom_site_type_symbol
_atom_site_fract_x
_atom_site_fract_y
_atom_site_fract_z
_atom_site_occupancy
Na1 Na 0.000 0.058 0.000 1
Na2 Na 0.058 0.272 0.712 1
Na3 Na 0.304 0.112 0.963 1
Nb1 Nb 0.200 0.255 0.149 1
Si1 Si 0.162 0.121 0.479 1
Si2 Si 0.314 0.461 0.978 1
Si3 Si 0.449 0.101 0.469 1
Ge1 Ge 0.413 0.248 0.786 1
O1 O 0.047 0.315 0.980 1
O2 O 0.059 0.188 0.460 1
O3 O 0.155 0.066 0.984 1
O4 O 0.162 0.146 0.296 1
O5 O 0.227 0.350 0.973 1
O6 O 0.246 0.430 0.298 1
O7 O 0.270 0.184 0.662 1
O8 O 0.343 0.168 0.280 1
O9 O 0.388 0.436 0.661 1
O10 O 0.395 0.354 0.963 1
O11 O 0.443 0.138 0.641 1
O12 O 0.452 0.082 0.955 1
```

Peak list (10 most intense, 2θ = 5–70°, by intensity)
2theta, intensity, index
19.85, 100.0, 1 1 1
31.73, 39.9, 3 1 -3
34.91, 26.8, 3 3 -1
28.36, 23.3, 2 2 -2
20.00, 21.6, 0 2 0
31.51, 21.5, 3 1 1
34.66, 19.1, 6 0 -2
23.42, 17.2, 0 2 1
45.52, 15.5, 4 2 -4
60.61, 10.5, 5 3 -5



# 2
Simulated powder XRD pattern
Compound: NaNd9Ge6O26
Radiation: Cu Kα, 1.54184 Å
Structure: a cell relaxed with PBE
Kinematic intensities with the Lorentz-polarization factor, no thermal factor.

Crystal structure
```
data_NaNd9Ge6O26
_cell_length_a 9.8621
_cell_length_b 9.8621
_cell_length_c 7.1834
_cell_angle_alpha 90.00
_cell_angle_beta 90.00
_cell_angle_gamma 120.00
_space_group_name_H-M_alt 'P 3'
_space_group_IT_number 143
loop_
_space_group_symop_operation_xyz
'x,y,z'
'-y,x-y,z'
'-x+y,-x,z'
loop_
_atom_site_label
_atom_site_type_symbol
_atom_site_fract_x
_atom_site_fract_y
_atom_site_fract_z
_atom_site_occupancy
Na1 Na 0.0000 0.0000 0.0000 1
Nd1 Nd 0.0000 0.0000 0.5087 1
Nd2 Nd 0.3333 0.6667 0.0086 1
Nd3 Nd 0.3333 0.6667 0.5063 1
Nd4 Nd 0.4278 0.0990 0.7576 1
Nd5 Nd 0.4362 0.3388 0.2568 1
Ge1 Ge 0.0389 0.3034 0.2562 1
Ge2 Ge 0.0637 0.7057 0.7562 1
O1 O 0.0134 0.5803 0.9529 1
O2 O 0.0136 0.5748 0.5635 1
O3 O 0.0596 0.8533 0.2721 1
O4 O 0.1617 0.5102 0.2568 1
O5 O 0.1855 0.1556 0.7490 1
O6 O 0.1932 0.4661 0.7584 1
O7 O 0.3283 0.0891 0.4514 1
O8 O 0.3482 0.0961 0.0711 1
O9 O 0.6667 0.3333 0.2667 1
O10 O 0.6667 0.3333 0.7587 1
```

Peak list (10 most intense, 2θ = 5–70°, by intensity)
2theta, intensity, index
30.36, 100.0, 2 1 1
30.80, 44.8, 2 -1 2
47.26, 33.1, 3 -2 3
31.42, 27.4, 3 0 0
27.63, 26.6, 2 1 0
44.58, 24.4, 2 2 2
26.93, 22.1, 0 1 2
24.79, 20.0, 0 0 2
49.68, 18.1, 4 0 2
59.97, 15.2, 5 0 2



# 3
Simulated powder XRD pattern
Compound: Na2NdGeO5
Radiation: Cu Kα, 1.54184 Å
Structure: a cell relaxed with PBE
Kinematic intensities with the Lorentz-polarization factor, no thermal factor.

Crystal structure
```
data_Na2NdGeO5
_cell_length_a 9.575
_cell_length_b 7.605
_cell_length_c 6.840
_cell_angle_alpha 90.00
_cell_angle_beta 90.00
_cell_angle_gamma 90.00
_space_group_name_H-M_alt 'P n m a'
_space_group_IT_number 62
loop_
_space_group_symop_operation_xyz
'x,y,z'
'-x,-y,-z'
'-x+1/2,-y,z+1/2'
'x+1/2,y,-z+1/2'
'x+1/2,-y+1/2,-z+1/2'
'-x+1/2,y+1/2,z+1/2'
'-x,y+1/2,-z'
'x,-y+1/2,z'
loop_
_atom_site_label
_atom_site_type_symbol
_atom_site_fract_x
_atom_site_fract_y
_atom_site_fract_z
_atom_site_occupancy
Na1 Na 0.175 0.034 0.132 1
Nd1 Nd 0.042 0.250 0.622 1
Ge1 Ge 0.094 0.750 0.822 1
O1 O 0.019 0.250 0.974 1
O2 O 0.061 0.567 0.666 1
O3 O 0.213 0.750 0.281 1
O4 O 0.229 0.250 0.389 1
```

Peak list (10 most intense, 2θ = 5–70°, by intensity)
2theta, intensity, index
30.13, 100.0, 1 1 2
23.40, 64.4, 0 2 0
18.53, 48.5, 2 0 0
45.54, 41.6, 1 3 2
30.01, 35.8, 2 2 0
32.80, 35.3, 2 2 1
39.90, 35.3, 4 0 1
22.67, 29.9, 2 0 1
15.92, 26.6, 1 0 1
47.85, 20.7, 0 4 0



# 4
Simulated powder XRD pattern
Compound: Na2Ge2O5
Radiation: Cu Kα, 1.54184 Å
Structure: a cell relaxed with PBE
Kinematic intensities with the Lorentz-polarization factor, no thermal factor.

Crystal structure
```
data_Na2Ge2O5
_cell_length_a 8.538
_cell_length_b 12.323
_cell_length_c 5.009
_cell_angle_alpha 90.00
_cell_angle_beta 90.00
_cell_angle_gamma 90.00
_space_group_name_H-M_alt 'P n a 21'
_space_group_IT_number 33
loop_
_space_group_symop_operation_xyz
'x,y,z'
'-x,-y,z+1/2'
'-x+1/2,y+1/2,z+1/2'
'x+1/2,-y+1/2,z'
loop_
_atom_site_label
_atom_site_type_symbol
_atom_site_fract_x
_atom_site_fract_y
_atom_site_fract_z
_atom_site_occupancy
Na1 Na 0.066 0.228 0.000 1
Na2 Na 0.187 0.694 0.965 1
Ge1 Ge 0.049 0.928 0.044 1
Ge2 Ge 0.110 0.526 0.426 1
O1 O 0.027 0.951 0.399 1
O2 O 0.038 0.194 0.472 1
O3 O 0.071 0.519 0.071 1
O4 O 0.166 0.657 0.496 1
O5 O 0.244 0.416 0.485 1
```

Peak list (10 most intense, 2θ = 5–70°, by intensity)
2theta, intensity, index
14.38, 100.0, 0 2 0
35.84, 86.4, 0 0 2
21.80, 84.8, 1 1 1
25.18, 51.5, 1 2 1
20.81, 39.2, 2 0 0
32.28, 37.7, 3 1 0
30.19, 36.6, 2 3 0
31.12, 31.8, 2 2 1
37.06, 26.8, 3 1 1
48.03, 23.6, 4 3 0



# 5
Simulated powder XRD pattern
Compound: Na2Ge2O5
Radiation: Cu Kα, 1.54184 Å
Structure: a cell relaxed with PBE
Kinematic intensities with the Lorentz-polarization factor, no thermal factor.

Crystal structure
```
data_Na2Ge2O5
_cell_length_a 9.964
_cell_length_b 5.746
_cell_length_c 8.695
_cell_angle_alpha 90.00
_cell_angle_beta 90.00
_cell_angle_gamma 90.00
_space_group_name_H-M_alt 'P c a 21'
_space_group_IT_number 29
loop_
_space_group_symop_operation_xyz
'x,y,z'
'-x,-y,z+1/2'
'-x+1/2,y,z+1/2'
'x+1/2,-y,z'
loop_
_atom_site_label
_atom_site_type_symbol
_atom_site_fract_x
_atom_site_fract_y
_atom_site_fract_z
_atom_site_occupancy
Na1 Na 0.010 0.064 0.000 1
Na2 Na 0.243 0.908 0.227 1
Ge1 Ge 0.039 0.454 0.727 1
Ge2 Ge 0.201 0.366 0.424 1
O1 O 0.003 0.835 0.232 1
O2 O 0.094 0.338 0.255 1
O3 O 0.109 0.562 0.549 1
O4 O 0.164 0.555 0.864 1
O5 O 0.241 0.089 0.480 1
```

Peak list (10 most intense, 2θ = 5–70°, by intensity)
2theta, intensity, index
27.23, 100.0, 2 0 2
31.44, 94.4, 2 1 2
15.42, 87.9, 0 1 0
37.54, 52.3, 4 0 1
25.75, 43.0, 0 1 2
17.82, 38.7, 1 1 0
32.81, 32.4, 3 1 1
20.55, 28.2, 2 0 1
58.48, 22.2, 1 3 3
41.55, 21.4, 0 0 4